# AlS2NCl4
Theoretical powder diffractogram, a wavelength of 1.5418 Å. Input: a crystal structure in the Materials Project, relaxed with PBE.

Principal peaks in the range 2θ from 5° to 70°, most intense first:
| Position (°2θ) | d/Å | I (rel.) |
| --- | --- | --- |
| 19.39 | 4.577 | 100 |
| 29.38 | 3.040 | 87 |
| 28.47 | 3.135 | 48 |
| 23.45 | 3.794 | 47 |
| 29.70 | 3.008 | 42 |
| 35.02 | 2.562 | 38 |
| 26.04 | 3.421 | 30 |
| 29.02 | 3.077 | 30 |
| 47.95 | 1.897 | 29 |
| 47.38 | 1.919 | 27 |

```
data_AlS2NCl4
_chemical_formula_sum 'Al4 S8 N4 Cl16'
_cell_length_a 11.4781
_cell_length_b 7.5880
_cell_length_c 10.9362
_cell_angle_alpha 90.00
_cell_angle_beta 90.00
_cell_angle_gamma 90.00
_space_group_name_H-M_alt 'P 1'
_space_group_IT_number 1
loop_
_space_group_symop_operation_xyz
'x,y,z'
loop_
_atom_site_label
_atom_site_type_symbol
_atom_site_fract_x
_atom_site_fract_y
_atom_site_fract_z
Al1 Al 0.1072 0.2500 0.2007
Al2 Al 0.3928 0.7500 0.7007
Al3 Al 0.6072 0.2500 0.2993
Al4 Al 0.8928 0.7500 0.7993
S1 S 0.1272 0.2500 0.8390
S2 S 0.1630 0.2500 0.5673
S3 S 0.3370 0.7500 0.0673
S4 S 0.3728 0.7500 0.3390
S5 S 0.6272 0.2500 0.6610
S6 S 0.6630 0.2500 0.9327
S7 S 0.8370 0.7500 0.4327
S8 S 0.8728 0.7500 0.1610
N1 N 0.1460 0.2500 0.7034
N2 N 0.3540 0.7500 0.2034
N3 N 0.6460 0.2500 0.7966
N4 N 0.8540 0.7500 0.2966
Cl1 Cl 0.0423 0.7500 0.9193
Cl2 Cl 0.1074 0.0202 0.3170
Cl3 Cl 0.1074 0.4798 0.3170
Cl4 Cl 0.2378 0.7500 0.5882
Cl5 Cl 0.2622 0.2500 0.0882
Cl6 Cl 0.3926 0.5202 0.8170
Cl7 Cl 0.3926 0.9798 0.8170
Cl8 Cl 0.4577 0.2500 0.4193
Cl9 Cl 0.5423 0.7500 0.5807
Cl10 Cl 0.6074 0.0202 0.1830
Cl11 Cl 0.6074 0.4798 0.1830
Cl12 Cl 0.7378 0.7500 0.9118
Cl13 Cl 0.7622 0.2500 0.4118
Cl14 Cl 0.8926 0.5202 0.6830
Cl15 Cl 0.8926 0.9798 0.6830
Cl16 Cl 0.9577 0.2500 0.0807
```



# Pu2Pt
Theoretical powder diffractogram, a wavelength of 1.5418 Å. Input: a crystal structure in the Materials Project, relaxed with PBE.

Principal peaks in the range 2θ from 5° to 70°, most intense first:
| Position (°2θ) | d/Å | I (rel.) |
| --- | --- | --- |
| 35.72 | 2.514 | 100 |
| 38.83 | 2.319 | 77 |
| 33.73 | 2.657 | 69 |
| 33.45 | 2.679 | 66 |
| 32.03 | 2.794 | 53 |
| 30.68 | 2.915 | 51 |
| 30.36 | 2.944 | 50 |
| 32.75 | 2.734 | 32 |
| 60.12 | 1.539 | 24 |
| 40.05 | 2.251 | 21 |

```
data_Pu2Pt
_chemical_formula_sum 'Pu8 Pt4'
_cell_length_a 7.0024
_cell_length_b 4.6389
_cell_length_c 8.9740
_cell_angle_alpha 90.00
_cell_angle_beta 91.05
_cell_angle_gamma 90.00
_space_group_name_H-M_alt 'P 1'
_space_group_IT_number 1
loop_
_space_group_symop_operation_xyz
'x,y,z'
loop_
_atom_site_label
_atom_site_type_symbol
_atom_site_fract_x
_atom_site_fract_y
_atom_site_fract_z
Pu1 Pu 0.0000 0.0000 0.0000
Pu2 Pu 0.0341 0.5000 0.6385
Pu3 Pu 0.1670 0.5000 0.2356
Pu4 Pu 0.3593 0.0000 0.7360
Pu5 Pu 0.4976 0.0000 0.1350
Pu6 Pu 0.5332 0.5000 0.4947
Pu7 Pu 0.6747 0.5000 0.8975
Pu8 Pu 0.8617 0.0000 0.3986
Pt1 Pt 0.2569 0.5000 0.9175
Pt2 Pt 0.2793 0.0000 0.4146
Pt3 Pt 0.7500 0.5000 0.2175
Pt4 Pt 0.7793 0.0000 0.7153
```



# NaFeAs
Theoretical powder diffractogram, a wavelength of 1.5418 Å. Input: a crystal structure in the Materials Project, relaxed with PBE.

Principal peaks in the range 2θ from 5° to 70°, most intense first:
| Position (°2θ) | d/Å | I (rel.) |
| --- | --- | --- |
| 9.13 | 9.687 | 100 |
| 46.18 | 1.966 | 16 |
| 47.17 | 1.927 | 10 |
| 32.13 | 2.786 | 10 |
| 35.08 | 2.558 | 8 |
| 38.42 | 2.343 | 8 |
| 42.07 | 2.148 | 5 |
| 45.99 | 1.974 | 5 |
| 54.49 | 1.684 | 4 |
| 27.77 | 3.212 | 4 |

```
data_NaFeAs
_chemical_formula_sum 'Na4 Fe4 As4'
_cell_length_a 3.9311
_cell_length_b 3.9311
_cell_length_c 19.3742
_cell_angle_alpha 90.01
_cell_angle_beta 90.01
_cell_angle_gamma 60.03
_space_group_name_H-M_alt 'P 1'
_space_group_IT_number 1
loop_
_space_group_symop_operation_xyz
'x,y,z'
loop_
_atom_site_label
_atom_site_type_symbol
_atom_site_fract_x
_atom_site_fract_y
_atom_site_fract_z
Na1 Na 0.9997 0.9997 0.1819
Na2 Na 0.0003 0.0003 0.8181
Na3 Na 0.3321 0.3321 0.3489
Na4 Na 0.6679 0.6679 0.6511
Fe1 Fe 0.0000 0.0000 0.0000
Fe2 Fe 0.0000 0.0000 0.5000
Fe3 Fe 0.3334 0.3334 0.9584
Fe4 Fe 0.6666 0.6666 0.0416
As1 As 0.3333 0.3333 0.0809
As2 As 0.3336 0.3336 0.5501
As3 As 0.6664 0.6664 0.4499
As4 As 0.6667 0.6667 0.9191
```



# Ba2LaI7
Theoretical powder diffractogram, a wavelength of 1.5418 Å. Input: a crystal structure in the Materials Project, relaxed with PBE.

Principal peaks in the range 2θ from 5° to 70°, most intense first:
| Position (°2θ) | d/Å | I (rel.) |
| --- | --- | --- |
| 32.22 | 2.778 | 100 |
| 23.66 | 3.760 | 96 |
| 27.41 | 3.254 | 82 |
| 25.26 | 3.525 | 72 |
| 26.63 | 3.347 | 68 |
| 28.67 | 3.113 | 63 |
| 29.88 | 2.990 | 62 |
| 15.34 | 5.775 | 60 |
| 28.31 | 3.153 | 58 |
| 28.38 | 3.145 | 58 |

```
data_Ba2LaI7
_chemical_formula_sum 'Ba8 La4 I28'
_cell_length_a 10.0133
_cell_length_b 12.3957
_cell_length_c 18.6122
_cell_angle_alpha 90.00
_cell_angle_beta 121.27
_cell_angle_gamma 90.00
_space_group_name_H-M_alt 'P 1'
_space_group_IT_number 1
loop_
_space_group_symop_operation_xyz
'x,y,z'
loop_
_atom_site_label
_atom_site_type_symbol
_atom_site_fract_x
_atom_site_fract_y
_atom_site_fract_z
Ba1 Ba 0.1224 0.1918 0.2817
Ba2 Ba 0.1224 0.3082 0.7817
Ba3 Ba 0.2754 0.7392 0.0162
Ba4 Ba 0.2754 0.7608 0.5162
Ba5 Ba 0.7246 0.2392 0.4838
Ba6 Ba 0.7246 0.2608 0.9838
Ba7 Ba 0.8776 0.6918 0.2183
Ba8 Ba 0.8776 0.8082 0.7183
La1 La 0.4884 0.6378 0.3162
La2 La 0.4884 0.8622 0.8162
La3 La 0.5116 0.1378 0.1838
La4 La 0.5116 0.3622 0.6838
I1 I 0.0784 0.5748 0.8480
I2 I 0.0784 0.9252 0.3480
I3 I 0.1381 0.1348 0.0991
I4 I 0.1381 0.3652 0.5991
I5 I 0.1708 0.7441 0.1720
I6 I 0.1708 0.7559 0.6720
I7 I 0.2455 0.5668 0.3773
I8 I 0.2455 0.9332 0.8773
I9 I 0.3929 0.2271 0.5109
I10 I 0.3929 0.2729 0.0109
I11 I 0.4322 0.1272 0.7930
I12 I 0.4322 0.3728 0.2930
I13 I 0.4742 0.0549 0.3394
I14 I 0.4742 0.4451 0.8394
I15 I 0.5258 0.5549 0.1606
I16 I 0.5258 0.9451 0.6606
I17 I 0.5678 0.6272 0.7070
I18 I 0.5678 0.8728 0.2070
I19 I 0.6071 0.7271 0.9891
I20 I 0.6071 0.7729 0.4891
I21 I 0.7545 0.0668 0.1227
I22 I 0.7545 0.4332 0.6227
I23 I 0.8292 0.2441 0.3280
I24 I 0.8292 0.2559 0.8280
I25 I 0.8619 0.6348 0.4009
I26 I 0.8619 0.8652 0.9009
I27 I 0.9216 0.0748 0.6520
I28 I 0.9216 0.4252 0.1520
```



# RuSN4Cl2O2
Theoretical powder diffractogram, a wavelength of 1.5418 Å. Input: a crystal structure in the Materials Project, relaxed with PBE.

Principal peaks in the range 2θ from 5° to 70°, most intense first:
| Position (°2θ) | d/Å | I (rel.) |
| --- | --- | --- |
| 12.47 | 7.098 | 100 |
| 22.26 | 3.994 | 47 |
| 20.52 | 4.327 | 29 |
| 25.05 | 3.555 | 22 |
| 10.74 | 8.234 | 20 |
| 26.47 | 3.368 | 19 |
| 16.62 | 5.334 | 19 |
| 30.69 | 2.913 | 17 |
| 18.55 | 4.783 | 16 |
| 22.51 | 3.950 | 11 |

```
data_RuSN4Cl2O2
_chemical_formula_sum 'Ru4 S4 N16 Cl8 O8'
_cell_length_a 16.4679
_cell_length_b 5.0895
_cell_length_c 14.0043
_cell_angle_alpha 90.00
_cell_angle_beta 90.00
_cell_angle_gamma 90.00
_space_group_name_H-M_alt 'P 1'
_space_group_IT_number 1
loop_
_space_group_symop_operation_xyz
'x,y,z'
loop_
_atom_site_label
_atom_site_type_symbol
_atom_site_fract_x
_atom_site_fract_y
_atom_site_fract_z
Ru1 Ru 0.0975 0.2500 0.1842
Ru2 Ru 0.4025 0.7500 0.6842
Ru3 Ru 0.5975 0.2500 0.3158
Ru4 Ru 0.9025 0.7500 0.8158
S1 S 0.1865 0.2500 0.4760
S2 S 0.3135 0.7500 0.9760
S3 S 0.6865 0.2500 0.0240
S4 S 0.8135 0.7500 0.5240
N1 N 0.0456 0.0275 0.2983
N2 N 0.0456 0.4725 0.2983
N3 N 0.1571 0.5197 0.1604
N4 N 0.1571 0.9803 0.1604
N5 N 0.3429 0.0197 0.6604
N6 N 0.3429 0.4803 0.6604
N7 N 0.4544 0.5275 0.7983
N8 N 0.4544 0.9725 0.7983
N9 N 0.5456 0.0275 0.2017
N10 N 0.5456 0.4725 0.2017
N11 N 0.6571 0.5197 0.3396
N12 N 0.6571 0.9803 0.3396
N13 N 0.8429 0.0197 0.8396
N14 N 0.8429 0.4803 0.8396
N15 N 0.9544 0.5275 0.7017
N16 N 0.9544 0.9725 0.7017
Cl1 Cl 0.0081 0.7500 0.9184
Cl2 Cl 0.0296 0.7500 0.3355
Cl3 Cl 0.4704 0.2500 0.8355
Cl4 Cl 0.4919 0.2500 0.4184
Cl5 Cl 0.5081 0.7500 0.5816
Cl6 Cl 0.5296 0.7500 0.1645
Cl7 Cl 0.9704 0.2500 0.6645
Cl8 Cl 0.9919 0.2500 0.0816
O1 O 0.1603 0.2500 0.5747
O2 O 0.2277 0.7500 0.9536
O3 O 0.2723 0.2500 0.4536
O4 O 0.3397 0.7500 0.0747
O5 O 0.6603 0.2500 0.9253
O6 O 0.7277 0.7500 0.5464
O7 O 0.7723 0.2500 0.0464
O8 O 0.8397 0.7500 0.4253
```



# HoInPt2
Theoretical powder diffractogram, a wavelength of 1.5418 Å. Input: a crystal structure in the Materials Project, relaxed with PBE.

Principal peaks in the range 2θ from 5° to 70°, most intense first:
| Position (°2θ) | d/Å | I (rel.) |
| --- | --- | --- |
| 38.01 | 2.367 | 100 |
| 38.56 | 2.335 | 80 |
| 69.03 | 1.360 | 29 |
| 55.26 | 1.662 | 28 |
| 30.25 | 2.955 | 18 |
| 68.67 | 1.367 | 18 |
| 20.85 | 4.261 | 13 |
| 48.13 | 1.890 | 13 |
| 43.74 | 2.069 | 12 |
| 24.09 | 3.695 | 9 |

```
data_HoInPt2
_chemical_formula_sum 'Ho2 In2 Pt4'
_cell_length_a 4.7348
_cell_length_b 4.7348
_cell_length_c 8.5217
_cell_angle_alpha 90.00
_cell_angle_beta 90.00
_cell_angle_gamma 120.00
_space_group_name_H-M_alt 'P 1'
_space_group_IT_number 1
loop_
_space_group_symop_operation_xyz
'x,y,z'
loop_
_atom_site_label
_atom_site_type_symbol
_atom_site_fract_x
_atom_site_fract_y
_atom_site_fract_z
Ho1 Ho 0.0000 0.0000 0.0000
Ho2 Ho 0.0000 0.0000 0.5000
In1 In 0.3333 0.6667 0.2500
In2 In 0.6667 0.3333 0.7500
Pt1 Pt 0.3333 0.6667 0.5926
Pt2 Pt 0.3333 0.6667 0.9074
Pt3 Pt 0.6667 0.3333 0.0926
Pt4 Pt 0.6667 0.3333 0.4074
```



# BaCaNdBiO6
Theoretical powder diffractogram, a wavelength of 1.5418 Å. Input: a crystal structure in the Materials Project, relaxed with PBE.

Principal peaks in the range 2θ from 5° to 70°, most intense first:
| Position (°2θ) | d/Å | I (rel.) |
| --- | --- | --- |
| 29.13 | 3.066 | 100 |
| 51.61 | 1.771 | 31 |
| 20.48 | 4.336 | 19 |
| 41.71 | 2.166 | 17 |
| 51.69 | 1.769 | 15 |
| 60.35 | 1.534 | 10 |
| 41.57 | 2.172 | 9 |
| 68.29 | 1.374 | 6 |
| 68.44 | 1.371 | 6 |
| 68.54 | 1.369 | 6 |

```
data_BaCaNdBiO6
_chemical_formula_sum 'Ba4 Ca4 Nd4 Bi4 O24'
_cell_length_a 8.6561
_cell_length_b 8.6694
_cell_length_c 8.6898
_cell_angle_alpha 90.00
_cell_angle_beta 90.00
_cell_angle_gamma 90.00
_space_group_name_H-M_alt 'P 1'
_space_group_IT_number 1
loop_
_space_group_symop_operation_xyz
'x,y,z'
loop_
_atom_site_label
_atom_site_type_symbol
_atom_site_fract_x
_atom_site_fract_y
_atom_site_fract_z
Ba1 Ba 0.0000 0.0000 0.0000
Ba2 Ba 0.0000 0.0000 0.5000
Ba3 Ba 0.0000 0.5000 0.0000
Ba4 Ba 0.5000 0.5000 0.5000
Ca1 Ca 0.0000 0.5000 0.5000
Ca2 Ca 0.5000 0.0000 0.0000
Ca3 Ca 0.5000 0.0000 0.5000
Ca4 Ca 0.5000 0.5000 0.0000
Nd1 Nd 0.2551 0.2518 0.7493
Nd2 Nd 0.2551 0.7482 0.2507
Nd3 Nd 0.7449 0.2518 0.2507
Nd4 Nd 0.7449 0.7482 0.7493
Bi1 Bi 0.2561 0.2502 0.2509
Bi2 Bi 0.2561 0.7498 0.7491
Bi3 Bi 0.7439 0.2502 0.7491
Bi4 Bi 0.7439 0.7498 0.2509
O1 O 0.0126 0.2773 0.2097
O2 O 0.0126 0.7227 0.7903
O3 O 0.2045 0.3107 0.4873
O4 O 0.2045 0.6893 0.5127
O5 O 0.2170 0.0093 0.2852
O6 O 0.2170 0.9907 0.7148
O7 O 0.3035 0.1991 0.0119
O8 O 0.3035 0.8009 0.9881
O9 O 0.3076 0.4866 0.1983
O10 O 0.3076 0.5134 0.8017
O11 O 0.4896 0.2051 0.3160
O12 O 0.4896 0.7949 0.6840
O13 O 0.5104 0.2051 0.6840
O14 O 0.5104 0.7949 0.3160
O15 O 0.6924 0.4866 0.8017
O16 O 0.6924 0.5134 0.1983
O17 O 0.6965 0.1991 0.9881
O18 O 0.6965 0.8009 0.0119
O19 O 0.7830 0.0093 0.7148
O20 O 0.7830 0.9907 0.2852
O21 O 0.7955 0.3107 0.5127
O22 O 0.7955 0.6893 0.4873
O23 O 0.9874 0.2773 0.7903
O24 O 0.9874 0.7227 0.2097
```



# CeTh2S3
Theoretical powder diffractogram, a wavelength of 1.5418 Å. Input: a crystal structure in the Materials Project, relaxed with PBE.

Principal peaks in the range 2θ from 5° to 70°, most intense first:
| Position (°2θ) | d/Å | I (rel.) |
| --- | --- | --- |
| 31.31 | 2.857 | 100 |
| 26.85 | 3.320 | 73 |
| 44.41 | 2.040 | 38 |
| 45.31 | 2.001 | 36 |
| 53.06 | 1.726 | 24 |
| 27.55 | 3.238 | 22 |
| 55.34 | 1.660 | 20 |
| 52.66 | 1.738 | 13 |
| 65.32 | 1.429 | 12 |
| 53.85 | 1.702 | 12 |

```
data_CeTh2S3
_chemical_formula_sum 'Ce1 Th2 S3'
_cell_length_a 4.0799
_cell_length_b 4.0799
_cell_length_c 9.7137
_cell_angle_alpha 90.00
_cell_angle_beta 90.00
_cell_angle_gamma 120.00
_space_group_name_H-M_alt 'P 1'
_space_group_IT_number 1
loop_
_space_group_symop_operation_xyz
'x,y,z'
loop_
_atom_site_label
_atom_site_type_symbol
_atom_site_fract_x
_atom_site_fract_y
_atom_site_fract_z
Ce1 Ce 0.0000 0.0000 0.0000
Th1 Th 0.3333 0.6667 0.6668
Th2 Th 0.6667 0.3333 0.3332
S1 S 0.0000 0.0000 0.5000
S2 S 0.3333 0.6667 0.1643
S3 S 0.6667 0.3333 0.8357
```



Repeat the first record exactly.
# AlS2NCl4
Theoretical powder diffractogram, a wavelength of 1.5418 Å. Input: a crystal structure in the Materials Project, relaxed with PBE.

Principal peaks in the range 2θ from 5° to 70°, most intense first:
| Position (°2θ) | d/Å | I (rel.) |
| --- | --- | --- |
| 19.39 | 4.577 | 100 |
| 29.38 | 3.040 | 87 |
| 28.47 | 3.135 | 48 |
| 23.45 | 3.794 | 47 |
| 29.70 | 3.008 | 42 |
| 35.02 | 2.562 | 38 |
| 26.04 | 3.421 | 30 |
| 29.02 | 3.077 | 30 |
| 47.95 | 1.897 | 29 |
| 47.38 | 1.919 | 27 |

```
data_AlS2NCl4
_chemical_formula_sum 'Al4 S8 N4 Cl16'
_cell_length_a 11.4781
_cell_length_b 7.5880
_cell_length_c 10.9362
_cell_angle_alpha 90.00
_cell_angle_beta 90.00
_cell_angle_gamma 90.00
_space_group_name_H-M_alt 'P 1'
_space_group_IT_number 1
loop_
_space_group_symop_operation_xyz
'x,y,z'
loop_
_atom_site_label
_atom_site_type_symbol
_atom_site_fract_x
_atom_site_fract_y
_atom_site_fract_z
Al1 Al 0.1072 0.2500 0.2007
Al2 Al 0.3928 0.7500 0.7007
Al3 Al 0.6072 0.2500 0.2993
Al4 Al 0.8928 0.7500 0.7993
S1 S 0.1272 0.2500 0.8390
S2 S 0.1630 0.2500 0.5673
S3 S 0.3370 0.7500 0.0673
S4 S 0.3728 0.7500 0.3390
S5 S 0.6272 0.2500 0.6610
S6 S 0.6630 0.2500 0.9327
S7 S 0.8370 0.7500 0.4327
S8 S 0.8728 0.7500 0.1610
N1 N 0.1460 0.2500 0.7034
N2 N 0.3540 0.7500 0.2034
N3 N 0.6460 0.2500 0.7966
N4 N 0.8540 0.7500 0.2966
Cl1 Cl 0.0423 0.7500 0.9193
Cl2 Cl 0.1074 0.0202 0.3170
Cl3 Cl 0.1074 0.4798 0.3170
Cl4 Cl 0.2378 0.7500 0.5882
Cl5 Cl 0.2622 0.2500 0.0882
Cl6 Cl 0.3926 0.5202 0.8170
Cl7 Cl 0.3926 0.9798 0.8170
Cl8 Cl 0.4577 0.2500 0.4193
Cl9 Cl 0.5423 0.7500 0.5807
Cl10 Cl 0.6074 0.0202 0.1830
Cl11 Cl 0.6074 0.4798 0.1830
Cl12 Cl 0.7378 0.7500 0.9118
Cl13 Cl 0.7622 0.2500 0.4118
Cl14 Cl 0.8926 0.5202 0.6830
Cl15 Cl 0.8926 0.9798 0.6830
Cl16 Cl 0.9577 0.2500 0.0807
```